[1]
BPb3O4F: simulated X-ray powder pattern (a wavelength of 1.5418 Å), based on DFT lattice parameters and positions (PBE).
Lines closer than 0.1° are merged.

Most intense lines, 15 to 90 degrees two-theta, in order of rising 2θ:
2θ 18.5, I 20.3
2θ 19.0, I 17.2
2θ 26.9, I 31.7
2θ 27.6, I 77.3
2θ 28.2, I 100.0
2θ 31.6, I 19.2
2θ 42.0, I 16.4
2θ 46.0, I 18.1
2θ 54.1, I 30.8
2θ 60.0, I 17.0

Atomic structure:
```
36
Lattice="7.777 0.000 0.000 0.000 6.630 0.000 0.000 0.000 12.159" Properties=species:S:1:pos:R:3 pbc="T T T"
B 0.163 1.658 0.000
B 0.163 1.658 6.079
B 7.615 4.973 0.000
B 7.615 4.973 6.079
Pb 0.828 0.409 3.040
Pb 0.828 2.906 9.119
Pb 2.562 3.516 1.274
Pb 2.562 3.516 4.805
Pb 2.562 6.429 7.353
Pb 2.562 6.429 10.884
Pb 5.215 0.201 1.274
Pb 5.215 0.201 4.805
Pb 5.215 3.114 7.353
Pb 5.215 3.114 10.884
Pb 6.950 3.724 3.040
Pb 6.950 6.222 9.119
O 0.527 4.661 1.166
O 0.527 4.661 4.913
O 0.527 5.285 7.245
O 0.527 5.285 10.993
O 1.495 0.570 9.119
O 1.495 2.745 3.040
O 1.559 1.658 0.000
O 1.559 1.658 6.079
O 6.219 4.973 0.000
O 6.219 4.973 6.079
O 6.283 3.885 9.119
O 6.283 6.060 3.040
O 7.251 1.346 1.166
O 7.251 1.346 4.913
O 7.251 1.970 7.245
O 7.251 1.970 10.993
F 3.296 4.645 9.119
F 3.296 5.300 3.040
F 4.481 1.330 9.119
F 4.481 1.985 3.040
```



[2]
B6Pb3O11F2: simulated X-ray powder pattern (a wavelength of 1.5418 Å), based on DFT lattice parameters and positions (PBE).
Lines closer than 0.1° are merged.

Most intense lines, 15 to 90 degrees two-theta, in order of rising 2θ:
2θ 17.9, I 35.9
2θ 19.9, I 78.8
2θ 20.8, I 28.5
2θ 25.1, I 100.0
2θ 27.4, I 33.5
2θ 27.8, I 61.0
2θ 29.1, I 70.0
2θ 29.4, I 23.1
2θ 36.2, I 28.9
2θ 42.4, I 27.9

Atomic structure:
```
44
Lattice="6.688 0.000 0.000 0.000 8.455 0.000 -2.347 0.000 9.875" Properties=species:S:1:pos:R:3 pbc="T T T"
B 6.571 0.000 0.481
B -2.230 4.228 9.394
B -0.388 0.521 3.751
B -1.012 6.880 6.603
B 0.340 2.370 1.264
B 0.276 4.770 7.015
B 1.593 0.332 2.238
B 2.748 4.560 7.637
B 4.065 0.543 2.859
B 4.001 6.598 8.611
B 5.353 2.652 3.272
B 4.729 4.749 6.124
Pb -0.170 5.639 2.688
Pb 2.003 2.848 4.570
Pb 0.848 6.955 9.542
Pb 3.493 2.727 0.333
Pb 2.338 7.076 5.305
Pb 4.511 1.412 7.186
O -1.823 7.376 7.686
O -1.861 5.552 9.292
O -0.568 1.813 4.213
O -0.856 4.048 6.629
O 0.882 3.379 0.304
O 0.975 7.956 1.175
O 0.872 0.006 3.545
O 0.198 6.151 7.071
O 1.512 1.758 1.925
O 1.332 5.270 4.167
O 1.365 4.078 7.439
O 2.976 8.306 2.435
O 3.009 1.042 5.707
O 2.829 5.985 7.950
O 4.143 1.924 2.804
O 3.469 4.233 6.330
O 3.366 3.728 8.700
O 3.459 7.607 9.570
O 5.197 8.276 3.246
O 4.909 6.041 5.661
O 6.202 1.324 0.582
O 6.164 3.148 2.189
F -0.504 8.054 5.902
F 0.637 0.790 8.910
F 3.704 5.017 0.964
F 4.845 3.827 3.973
```



[3]
Sm3B2O6F3: simulated X-ray powder pattern (a wavelength of 1.5418 Å), based on DFT lattice parameters and positions (PBE).
Lines closer than 0.1° are merged.

Most intense lines, 15 to 90 degrees two-theta, in order of rising 2θ:
2θ 21.3, I 73.9
2θ 25.2, I 100.0
2θ 26.3, I 55.1
2θ 28.4, I 56.6
2θ 30.4, I 94.2
2θ 31.5, I 33.0
2θ 43.4, I 32.1
2θ 45.6, I 31.5
2θ 50.2, I 57.9
2θ 54.1, I 35.9

Atomic structure:
```
28
Lattice="6.471 -3.147 0.000 6.471 3.147 0.000 -1.015 0.000 8.332" Properties=species:S:1:pos:R:3 pbc="T T T"
Sm 5.710 2.511 6.249
Sm 3.840 0.681 2.671
Sm 3.332 -0.681 6.837
Sm 8.595 0.681 1.495
Sm 8.087 -0.681 5.661
Sm 6.217 -2.511 2.083
B 2.319 0.576 0.182
B 1.812 -0.576 4.348
B 10.115 0.576 3.984
B 9.608 -0.576 8.150
O 1.066 0.622 7.151
O 3.643 1.698 7.212
O 2.779 0.347 4.789
O 1.573 -0.622 2.985
O 3.286 -0.347 0.623
O 7.776 1.698 5.287
O 4.151 -1.698 3.045
O 8.640 0.347 7.709
O 10.354 0.622 5.347
O 9.148 -0.347 3.543
O 8.283 -1.698 1.121
O 10.861 -0.622 1.181
F 5.339 2.027 3.808
F 7.095 2.027 0.358
F 5.710 0.151 6.249
F 6.217 -0.151 2.083
F 4.832 -2.027 7.974
F 6.587 -2.027 4.524
```



[4]
Sr3B6O11F2: simulated X-ray powder pattern (a wavelength of 1.5418 Å), based on DFT lattice parameters and positions (PBE).
Lines closer than 0.1° are merged.

Most intense lines, 15 to 90 degrees two-theta, in order of rising 2θ:
2θ 21.3, I 100.0
2θ 25.6, I 45.7
2θ 28.2, I 35.4
2θ 28.8, I 49.7
2θ 30.8, I 53.1
2θ 31.3, I 42.5
2θ 33.7, I 34.0
2θ 43.4, I 40.7
2θ 45.8, I 59.8
2θ 46.3, I 30.6

Atomic structure:
```
44
Lattice="6.465 0.000 0.000 0.000 8.334 0.000 -1.930 0.000 9.295" Properties=species:S:1:pos:R:3 pbc="T T T"
Sr -0.335 0.000 2.200
Sr 1.935 2.949 4.352
Sr 1.104 7.018 8.834
Sr 3.431 2.851 0.461
Sr 2.601 7.116 4.942
Sr 4.871 4.167 7.095
B -0.808 5.686 4.127
B 0.169 2.989 1.329
B -1.146 1.135 8.698
B -0.534 7.493 5.829
B 1.346 5.141 1.946
B 0.700 1.176 6.823
B 3.835 5.343 2.472
B 3.189 0.974 7.349
B 5.069 3.326 3.466
B 5.682 5.302 0.597
B 4.366 7.156 7.965
B 5.344 1.519 5.167
O -1.349 6.707 6.749
O -0.530 4.344 4.176
O -1.336 8.002 8.888
O 0.265 5.867 1.529
O 0.687 1.763 0.725
O 0.031 6.560 4.790
O -0.030 2.035 5.836
O 1.384 3.767 1.834
O 0.199 1.424 8.165
O 0.632 8.100 6.446
O 2.410 5.824 2.515
O 2.126 1.657 6.780
O 3.904 3.933 2.848
O 4.337 5.591 1.130
O 3.152 7.934 7.461
O 4.566 6.202 3.459
O 4.505 2.393 4.505
O 3.848 5.930 8.569
O 4.271 1.700 7.766
O 5.871 3.835 0.406
O 5.066 0.177 5.119
O 5.884 2.540 2.546
F 0.457 4.647 8.333
F 1.686 0.606 3.605
F 2.849 4.773 5.689
F 4.078 0.480 0.962
```



[5]
BTe3O3F15: simulated X-ray powder pattern (a wavelength of 1.5418 Å), based on DFT lattice parameters and positions (PBE).
Lines closer than 0.1° are merged.

Most intense lines, 15 to 90 degrees two-theta, in order of rising 2θ:
2θ 18.8, I 35.6
2θ 18.9, I 24.6
2θ 21.1, I 100.0
2θ 26.8, I 12.1
2θ 34.3, I 13.5
2θ 38.3, I 18.8
2θ 39.5, I 10.9
2θ 48.3, I 10.4
2θ 51.3, I 10.2
2θ 59.8, I 10.7

Atomic structure:
```
44
Lattice="9.396 0.000 0.000 -4.698 8.137 0.000 0.000 0.000 9.453" Properties=species:S:1:pos:R:3 pbc="T T T"
B 0.000 5.425 2.363
B 4.698 2.712 7.089
Te -3.014 5.247 2.363
Te 1.661 2.903 2.363
Te 3.345 0.013 7.089
Te 1.353 8.124 2.363
Te 3.037 5.234 7.089
Te 7.712 2.890 7.089
O -1.171 4.694 2.363
O -0.047 6.804 2.363
O 1.218 4.776 2.363
O 3.480 3.361 7.089
O 4.745 1.333 7.089
O 5.869 3.443 7.089
F -2.725 6.521 1.023
F -2.725 6.521 3.703
F -1.329 4.179 5.784
F -1.329 4.179 8.395
F -2.657 6.816 7.089
F 0.124 2.428 7.089
F 0.413 2.517 1.023
F 0.413 2.517 3.703
F 2.165 1.107 2.363
F 2.386 0.900 5.750
F 2.386 0.900 8.429
F -0.415 7.199 5.784
F -0.415 7.199 8.395
F 1.744 4.897 5.784
F 1.744 4.897 8.395
F 2.954 3.240 1.058
F 2.954 3.240 3.668
F 5.113 0.938 1.058
F 5.113 0.938 3.668
F 2.312 7.237 1.023
F 2.312 7.237 3.703
F 2.533 7.031 7.089
F 4.285 5.621 5.750
F 4.285 5.621 8.429
F 4.574 5.709 2.363
F 7.355 1.321 2.363
F 6.027 3.959 1.058
F 6.027 3.959 3.668
F 7.423 1.616 5.750
F 7.423 1.616 8.429
```



[6]
UTlB5O11F: simulated X-ray powder pattern (a wavelength of 1.5418 Å), based on DFT lattice parameters and positions (PBE).
Lines closer than 0.1° are merged.

Most intense lines, 15 to 90 degrees two-theta, in order of rising 2θ:
2θ 16.3, I 100.0
2θ 17.4, I 73.0
2θ 18.9, I 85.1
2θ 21.4, I 82.0
2θ 23.7, I 37.4
2θ 24.9, I 66.5
2θ 27.9, I 33.9
2θ 30.9, I 35.0
2θ 32.9, I 35.3
2θ 44.4, I 36.5

Atomic structure:
```
19
Lattice="6.436 0.000 0.000 3.145 5.620 0.000 2.177 -0.921 7.143" Properties=species:S:1:pos:R:3 pbc="T T T"
U 0.000 0.000 0.000
Tl 6.685 1.839 3.807
B 2.127 2.759 0.503
B 3.039 2.290 2.774
B 5.169 -0.286 6.577
B 4.452 2.291 0.776
B 6.370 3.802 0.055
O 2.745 2.008 4.080
O 5.186 4.634 5.356
O 4.032 0.582 6.927
O 3.491 3.229 0.196
O 4.331 2.267 2.264
O 7.775 3.973 6.896
O 4.210 0.936 0.198
O 5.829 2.584 0.396
O 7.738 3.890 0.049
O 6.576 0.051 1.807
O 8.399 2.559 1.940
F 5.429 -0.216 5.179
```



[7]
Tm5B2O6F9: simulated X-ray powder pattern (a wavelength of 1.5418 Å), based on DFT lattice parameters and positions (PBE).
Lines closer than 0.1° are merged.

Most intense lines, 15 to 90 degrees two-theta, in order of rising 2θ:
2θ 22.2, I 40.2
2θ 25.2, I 38.4
2θ 26.7, I 100.0
2θ 27.4, I 54.1
2θ 27.9, I 37.9
2θ 30.5, I 31.1
2θ 31.7, I 63.3
2θ 44.5, I 30.1
2θ 46.9, I 34.4
2θ 51.2, I 59.1

Atomic structure:
```
44
Lattice="10.184 -3.010 0.000 10.184 3.010 0.000 -1.464 0.000 8.078" Properties=species:S:1:pos:R:3 pbc="T T T"
Tm 3.482 0.722 2.584
Tm 9.086 2.336 6.059
Tm 7.816 0.660 0.749
Tm 2.750 -0.722 6.623
Tm 7.084 -0.660 4.788
Tm 11.820 0.660 3.290
Tm 16.154 0.722 1.456
Tm 11.088 -0.660 7.329
Tm 9.818 -2.336 2.020
Tm 15.422 -0.722 5.495
B 1.449 0.568 4.547
B 2.181 -0.568 0.508
B 16.723 0.568 7.570
B 17.455 -0.568 3.531
O 7.873 2.390 2.284
O 3.186 0.377 0.313
O 7.506 1.567 4.568
O 11.763 2.390 1.756
O 2.454 -0.377 4.352
O 10.666 1.567 7.550
O 8.238 -1.567 0.528
O 16.450 0.377 3.726
O 7.141 -2.390 6.323
O 11.398 -1.567 3.511
O 15.718 -0.377 7.765
O 11.031 -2.390 5.795
F 3.463 1.310 6.330
F 9.519 1.897 0.108
F 5.137 0.461 4.200
F 10.117 1.897 3.931
F 6.313 0.448 6.572
F 5.869 -0.461 0.161
F 7.045 -0.448 2.533
F 4.195 -1.310 2.291
F 9.086 0.093 6.059
F 9.818 -0.093 2.020
F 14.709 1.310 5.787
F 11.859 0.448 5.545
F 13.035 0.461 7.917
F 12.591 -0.448 1.506
F 8.787 -1.897 4.147
F 13.767 -0.461 3.878
F 9.385 -1.897 7.971
F 15.441 -1.310 1.748
```



What did the third record say?
Sm3B2O6F3: simulated X-ray powder pattern (a wavelength of 1.5418 Å), based on DFT lattice parameters and positions (PBE).
Lines closer than 0.1° are merged.

Most intense lines, 15 to 90 degrees two-theta, in order of rising 2θ:
2θ 21.3, I 73.9
2θ 25.2, I 100.0
2θ 26.3, I 55.1
2θ 28.4, I 56.6
2θ 30.4, I 94.2
2θ 31.5, I 33.0
2θ 43.4, I 32.1
2θ 45.6, I 31.5
2θ 50.2, I 57.9
2θ 54.1, I 35.9

Atomic structure:
```
28
Lattice="6.471 -3.147 0.000 6.471 3.147 0.000 -1.015 0.000 8.332" Properties=species:S:1:pos:R:3 pbc="T T T"
Sm 5.710 2.511 6.249
Sm 3.840 0.681 2.671
Sm 3.332 -0.681 6.837
Sm 8.595 0.681 1.495
Sm 8.087 -0.681 5.661
Sm 6.217 -2.511 2.083
B 2.319 0.576 0.182
B 1.812 -0.576 4.348
B 10.115 0.576 3.984
B 9.608 -0.576 8.150
O 1.066 0.622 7.151
O 3.643 1.698 7.212
O 2.779 0.347 4.789
O 1.573 -0.622 2.985
O 3.286 -0.347 0.623
O 7.776 1.698 5.287
O 4.151 -1.698 3.045
O 8.640 0.347 7.709
O 10.354 0.622 5.347
O 9.148 -0.347 3.543
O 8.283 -1.698 1.121
O 10.861 -0.622 1.181
F 5.339 2.027 3.808
F 7.095 2.027 0.358
F 5.710 0.151 6.249
F 6.217 -0.151 2.083
F 4.832 -2.027 7.974
F 6.587 -2.027 4.524
```